Starting from a structure optimized by DFT (PBE+U), the PXRD pattern of Hf3MnF6 was calculated for Cu Kα (weighted mean of Kα1 and Kα2).
Peak positions follow from Bragg's law for the DFT cell and can differ from measured ones.

Unit cell a=6.2775 b=6.2775 c=7.5934 alpha=114.46 beta=114.46 gamma=59.57
Fractional coordinates of all 10 atoms:
Hf  0.0000  0.0000  0.0000
Hf  0.0000  0.5000  0.0000
Hf  0.5000  0.0000  0.0000
Mn  0.0000  0.0000  0.5000
F  0.0871  0.0871  0.2981
F  0.0886  0.6225  0.2982
F  0.3775  0.9114  0.7018
F  0.6225  0.0886  0.2982
F  0.9114  0.3775  0.7018
F  0.9129  0.9129  0.7019

Main lines, sorted by position (10 to 90 degrees two-theta):
2θ/deg	Rel. int.
13.27	100.0
16.93	73.2
26.72	25.0
33.18	19.8
33.41	38.9
34.12	22.1
34.32	43.5
37.80	21.0